For Ba5Ru4, a crystal structure in Alexandria, relaxed with GGA-PBE gives the simulated PXRD pattern in this record (Cu Kα X-rays).
Neutral-atom scattering factors, no anomalous dispersion.

Most intense lines, 2θ = 10–90°, in order of falling intensity:
| d [Å] | intensity |
| --- | --- |
| 2.822 | 100 |
| 2.448 | 26 |
| 1.793 | 20 |
| 2.435 | 20 |
| 1.470 | 18 |
| 1.727 | 18 |

Crystal structure
a b c (Å): 7.7384 7.7384 7.7384
angles (deg): 95.68 95.68 143.31
Element x y z (fractional)
Ba: 0.0000 0.0000 0.0000
Ba: 0.3213 0.3213 0.6427
Ba: 0.3213 0.6787 0.0000
Ba: 0.6787 0.3213 0.0000
Ba: 0.6787 0.6787 0.3573
Ru: 0.0000 0.3861 0.3861
Ru: 0.0000 0.6139 0.6139
Ru: 0.3861 0.0000 0.3861
Ru: 0.6139 0.0000 0.6139


For BaRu, a crystal structure in Alexandria, relaxed with GGA-PBE gives the simulated PXRD pattern in this record (Cu Kα X-rays).
Neutral-atom scattering factors, no anomalous dispersion.

Most intense lines, 2θ = 10–90°, in order of falling intensity:
| d [Å] | intensity |
| --- | --- |
| 2.869 | 100 |
| 3.251 | 67 |
| 6.432 | 34 |
| 2.192 | 31 |
| 2.493 | 28 |
| 1.646 | 25 |

Crystal structure
a b c (Å): 4.1851 4.9867 12.8635
angles (deg): 90.00 90.00 90.00
Element x y z (fractional)
Ba: 0.0000 0.2500 0.1184
Ba: 0.0000 0.7500 0.8816
Ba: 0.5000 0.2500 0.3816
Ba: 0.5000 0.7500 0.6184
Ru: 0.0000 0.2500 0.7091
Ru: 0.0000 0.7500 0.2909
Ru: 0.5000 0.2500 0.7909
Ru: 0.5000 0.7500 0.2091


For BaRu6S8, a crystal structure in Alexandria, relaxed with GGA-PBE gives the simulated PXRD pattern in this record (Cu Kα X-rays).
Neutral-atom scattering factors, no anomalous dispersion.

Most intense lines, 2θ = 10–90°, in order of falling intensity:
| d [Å] | intensity |
| --- | --- |
| 2.935 | 100 |
| 2.686 | 83 |
| 6.590 | 79 |
| 3.791 | 72 |
| 2.091 | 66 |
| 3.846 | 63 |

Crystal structure
a b c (Å): 6.5908 6.5908 6.5908
angles (deg): 89.38 89.38 89.38
Element x y z (fractional)
Ba: 0.0000 0.0000 0.0000
Ru: 0.1772 0.5723 0.4058
Ru: 0.4058 0.1772 0.5723
Ru: 0.4277 0.5942 0.8228
Ru: 0.5723 0.4058 0.1772
Ru: 0.5942 0.8228 0.4277
Ru: 0.8228 0.4277 0.5942
S: 0.1464 0.3879 0.7186
S: 0.2635 0.2635 0.2635
S: 0.2814 0.8536 0.6121
S: 0.3879 0.7186 0.1464
S: 0.6121 0.2814 0.8536
S: 0.7186 0.1464 0.3879
S: 0.7365 0.7365 0.7365
S: 0.8536 0.6121 0.2814


For BaSn6Ru3, a crystal structure in Alexandria, relaxed with GGA-PBE gives the simulated PXRD pattern in this record (Cu Kα X-rays).
Neutral-atom scattering factors, no anomalous dispersion.

Most intense lines, 2θ = 10–90°, in order of falling intensity:
| d [Å] | intensity |
| --- | --- |
| 2.948 | 100 |
| 2.244 | 72 |
| 2.254 | 50 |
| 3.158 | 42 |
| 2.663 | 38 |
| 7.818 | 37 |

Crystal structure
a b c (Å): 13.8477 13.8477 4.4888
angles (deg): 90.00 90.00 145.63
Element x y z (fractional)
Ba: 0.0894 0.9106 0.7500
Ba: 0.9106 0.0894 0.2500
Sn: 0.0170 0.3677 0.7500
Sn: 0.2512 0.7488 0.7500
Sn: 0.2596 0.3552 0.7500
Sn: 0.3552 0.2596 0.2500
Sn: 0.3650 0.6350 0.2500
Sn: 0.3677 0.0170 0.2500
Sn: 0.6323 0.9830 0.7500
Sn: 0.6350 0.3650 0.7500
Sn: 0.6448 0.7404 0.7500
Sn: 0.7404 0.6448 0.2500
Sn: 0.7488 0.2512 0.2500
Sn: 0.9830 0.6323 0.2500
Ru: 0.0952 0.5288 0.2500
Ru: 0.4627 0.5373 0.2500
Ru: 0.4712 0.9048 0.2500
Ru: 0.5288 0.0952 0.7500
Ru: 0.5373 0.4627 0.7500
Ru: 0.9048 0.4712 0.7500